Entry 1:
Diffraction record for CuH12I4N4. The powder diffraction line list is calculated, not measured: it uses DFT lattice parameters and positions (PBE) and λ = 1.5418 Å (Cu Kα).

Cell: 11.6970 8.8736 6.4701 Å, 90.00 110.88 90.00°
Space group C2/m (No. 12)
Inequivalent atoms, fractional coordinates:
Cu (0.0000, 0.0000, 0.0000) (multiplicity 2)
H (0.0469, 0.2626, 0.1981) (multiplicity 8)
H (0.1153, 0.1309, 0.3807) (multiplicity 8)
H (0.1757, 0.1854, 0.1972) (multiplicity 8)
I (0.0870, 0.5000, 0.7230) (multiplicity 4)
I (0.2081, 0.0000, 0.7816) (multiplicity 4)
N (0.0942, 0.1626, 0.2178) (multiplicity 8)

Most intense lines, 2θ = 10–90°, low angle first:
2theta	intensity	h k l
17.6	30	2 0 -1
20.0	94	0 2 0
21.6	24	1 1 1
25.7	100	3 1 -1
26.8	45	2 2 -1
29.6	28	0 0 2
32.7	37	2 2 1
34.5	29	3 1 1
36.0	30	0 2 2
42.6	24	5 1 0

Entry 2:
Diffraction record for Cu2Ag3. The powder diffraction line list is calculated, not measured: it uses DFT lattice parameters and positions (PBE) and λ = 1.5418 Å (Cu Kα).

Cell: 2.8263 2.8263 19.3007 Å, 90.00 90.00 90.00°
Space group P4/nmm (No. 129, origin choice 2)
Inequivalent atoms, fractional coordinates:
Cu (0.2500, 0.2500, 0.0393) (multiplicity 2)
Cu (0.2500, 0.2500, 0.6528) (multiplicity 2)
Ag (0.2500, 0.2500, 0.2504) (multiplicity 2)
Ag (0.2500, 0.2500, 0.4435) (multiplicity 2)
Ag (0.2500, 0.2500, 0.8633) (multiplicity 2)

Most intense lines, 2θ = 10–90°, low angle first:
2theta	intensity	h k l
32.5	3	0 0 7
33.0	6	1 0 2
39.5	100	1 0 5
45.4	35	1 1 0
47.1	12	0 0 10
66.1	11	2 0 0
67.5	15	1 1 10
79.8	23	2 1 5
82.3	6	1 0 15
85.1	8	2 0 10

Entry 3:
Diffraction record for Zr6CoAs2. The powder diffraction line list is calculated, not measured: it uses DFT lattice parameters and positions (PBE) and λ = 1.5418 Å (Cu Kα).

Cell: 7.5345 7.5345 3.5720 Å, 90.00 90.00 120.00°
Space group P-62m (No. 189)
Inequivalent atoms, fractional coordinates:
Zr (0.0000, 0.2472, 0.0000) (multiplicity 3)
Zr (0.0000, 0.5861, 0.5000) (multiplicity 3)
Co (0.0000, 0.0000, 0.5000) (multiplicity 1)
As (0.3333, 0.6667, 0.0000) (multiplicity 2)

Most intense lines, 2θ = 10–90°, low angle first:
2theta	intensity	h k l
34.6	100	1 1 1
36.4	72	2 1 0
37.3	96	2 0 1
41.5	34	3 0 0
44.6	30	2 1 1
51.1	22	0 0 2
57.1	18	3 1 1
64.4	26	2 1 2
67.9	47	3 2 1
87.6	15	5 1 1

Entry 4:
Diffraction record for Sb3POs2. The powder diffraction line list is calculated, not measured: it uses DFT lattice parameters and positions (PBE) and λ = 1.5418 Å (Cu Kα).

Cell: 5.8229 3.1735 6.5770 Å, 90.00 92.37 90.00°
Space group Pm (No. 6)
Inequivalent atoms, fractional coordinates:
Sb (0.0000, 0.0000, 0.0000) (multiplicity 1)
Sb (0.1511, 0.5000, 0.4856) (multiplicity 1)
Sb (0.6349, 0.0000, 0.7106) (multiplicity 1)
P (0.5065, 0.5000, 0.2112) (multiplicity 1)
Os (0.3303, 0.5000, 0.8789) (multiplicity 1)
Os (0.7845, 0.0000, 0.3418) (multiplicity 1)

Most intense lines, 2θ = 10–90°, low angle first:
2theta	intensity	h k l
20.8	50	1 0 1
27.1	24	0 0 2
30.7	28	1 0 -2
31.8	29	1 0 2
32.1	100	1 1 0
34.7	25	1 1 -1
42.1	31	1 1 -2
44.0	30	2 1 -1
44.8	56	2 1 1
50.6	44	0 1 3

Entry 5:
Diffraction record for DyZrGa4Ir2. The powder diffraction line list is calculated, not measured: it uses DFT lattice parameters and positions (PBE) and λ = 1.5418 Å (Cu Kα).

Cell: 6.6318 4.2800 9.9643 Å, 90.00 90.00 90.00°
Space group Amm2 (No. 38)
Inequivalent atoms, fractional coordinates:
Dy (0.0000, 0.0000, 0.0000) (multiplicity 2)
Zr (0.5000, 0.0000, 0.8337) (multiplicity 2)
Ga (0.2041, 0.0000, 0.2858) (multiplicity 4)
Ga (0.3047, 0.0000, 0.5495) (multiplicity 4)
Ir (0.0000, 0.0000, 0.7115) (multiplicity 2)
Ir (0.5000, 0.0000, 0.1203) (multiplicity 2)

Most intense lines, 2θ = 10–90°, low angle first:
2theta	intensity	h k l
17.8	24	0 0 2
26.3	24	1 1 1
26.9	29	2 0 0
35.4	86	2 1 1
36.8	100	1 1 3
38.6	48	1 0 4
42.2	47	0 2 0
44.0	45	2 1 3
47.2	28	3 1 1
58.5	29	1 2 4

Entry 6:
Diffraction record for Rb2NaErCl6. The powder diffraction line list is calculated, not measured: it uses DFT lattice parameters and positions (PBE) and λ = 1.5418 Å (Cu Kα).

Cell: 10.6549 10.6549 10.6549 Å, 90.00 90.00 90.00°
Space group Fm-3m (No. 225)
Inequivalent atoms, fractional coordinates:
Rb (0.2500, 0.2500, 0.2500) (multiplicity 8)
Na (0.0000, 0.0000, 0.0000) (multiplicity 4)
Er (0.0000, 0.0000, 0.5000) (multiplicity 4)
Cl (0.0000, 0.0000, 0.2559) (multiplicity 24)

Most intense lines, 2θ = 10–90°, low angle first:
2theta	intensity	h k l
14.4	55	1 1 1
23.6	100	2 2 0
27.8	30	3 1 1
29.0	20	2 2 2
33.6	81	4 0 0
41.5	47	4 2 2
48.3	55	4 4 0
54.5	22	6 2 0
65.6	25	6 4 2
80.7	23	8 4 0

Entry 7:
Diffraction record for Li2Cd2Ga2NiPd. The powder diffraction line list is calculated, not measured: it uses DFT lattice parameters and positions (PBE) and λ = 1.5418 Å (Cu Kα).

Cell: 4.3899 4.3899 6.2839 Å, 90.00 90.00 90.00°
Space group P-4m2 (No. 115)
Inequivalent atoms, fractional coordinates:
Li (0.0000, 0.0000, 0.0000) (multiplicity 1)
Li (0.5000, 0.5000, 0.5000) (multiplicity 1)
Cd (0.0000, 0.5000, 0.2372) (multiplicity 2)
Ga (0.0000, 0.5000, 0.7625) (multiplicity 2)
Ni (0.5000, 0.5000, 0.0000) (multiplicity 1)
Pd (0.0000, 0.0000, 0.5000) (multiplicity 1)

Most intense lines, 2θ = 10–90°, low angle first:
2theta	intensity	h k l
24.7	42	1 0 1
28.8	16	1 1 0
40.9	100	1 1 2
41.1	50	2 0 0
48.6	13	2 1 1
58.8	8	0 0 4
59.6	16	2 2 0
74.2	15	2 0 4
74.8	31	3 1 2
88.6	10	2 2 4

Entry 8:
Diffraction record for Tb2GdNi2B2N3. The powder diffraction line list is calculated, not measured: it uses DFT lattice parameters and positions (PBE) and λ = 1.5418 Å (Cu Kα).

Cell: 3.4991 3.4991 20.1298 Å, 90.00 90.00 90.00°
Space group I4/mmm (No. 139)
Inequivalent atoms, fractional coordinates:
Tb (0.0000, 0.0000, 0.1240) (multiplicity 4)
Gd (0.0000, 0.0000, 0.5000) (multiplicity 2)
Ni (0.0000, 0.5000, 0.2500) (multiplicity 4)
B (0.0000, 0.0000, 0.3098) (multiplicity 4)
N (0.0000, 0.0000, 0.0000) (multiplicity 2)
N (0.0000, 0.0000, 0.3819) (multiplicity 4)

Most intense lines, 2θ = 10–90°, low angle first:
2theta	intensity	h k l
28.8	100	1 0 3
33.9	81	1 0 5
35.7	52	0 0 8
36.3	40	1 1 0
37.4	41	1 1 2
40.6	36	1 1 4
52.3	38	2 0 0
60.8	26	2 1 3
63.8	27	2 1 5
64.9	35	2 0 8

Entry 9:
Diffraction record for Ni8Sn. The powder diffraction line list is calculated, not measured: it uses DFT lattice parameters and positions (PBE) and λ = 1.5418 Å (Cu Kα).

Cell: 7.7927 3.5214 28.3200 Å, 90.00 90.27 90.00°
Space group C2/m (No. 12)
Inequivalent atoms, fractional coordinates:
Ni (0.0499, 0.0000, 0.0411) (multiplicity 4)
Ni (0.0499, 0.5000, 0.9037) (multiplicity 4)
Ni (0.0521, 0.5000, 0.1796) (multiplicity 4)
Ni (0.1486, 0.0000, 0.8481) (multiplicity 4)
Ni (0.1500, 0.5000, 0.9861) (multiplicity 4)
Ni (0.1520, 0.0000, 0.1235) (multiplicity 4)
Ni (0.2479, 0.0000, 0.2070) (multiplicity 4)
Ni (0.2504, 0.0000, 0.9316) (multiplicity 4)
Sn (0.0518, 0.0000, 0.7537) (multiplicity 4)

Most intense lines, 2θ = 10–90°, low angle first:
2theta	intensity	h k l
37.9	13	1 1 8
42.6	47	1 1 10
44.4	49	3 1 -3
45.2	100	1 1 11
50.8	24	2 0 -14
51.9	20	0 2 0
52.0	13	0 2 1
52.2	19	4 0 7
53.8	16	2 0 -15
75.6	13	2 2 -14

Entry 10:
Diffraction record for PrCo8. The powder diffraction line list is calculated, not measured: it uses DFT lattice parameters and positions (PBE) and λ = 1.5418 Å (Cu Kα).

Cell: 8.0041 8.0041 2.5178 Å, 90.00 90.00 120.00°
Space group P6/mmm (No. 191)
Inequivalent atoms, fractional coordinates:
Pr (0.0000, 0.0000, 0.0000) (multiplicity 1)
Co (0.1797, 0.3594, 0.5000) (multiplicity 6)
Co (0.3333, 0.6667, 0.5000) (multiplicity 2)

Most intense lines, 2θ = 10–90°, low angle first:
2theta	intensity	h k l
12.8	72	1 0 0
22.2	41	1 1 0
34.2	53	2 1 0
35.7	23	0 0 1
38.0	28	1 0 1
44.5	85	2 0 1
45.3	100	2 2 0
59.0	23	2 2 1
65.4	23	4 0 1
83.1	22	4 2 1

Entry 11:
Diffraction record for Sm2InO4. The powder diffraction line list is calculated, not measured: it uses DFT lattice parameters and positions (PBE) and λ = 1.5418 Å (Cu Kα).

Cell: 9.7965 9.7965 9.7965 Å, 90.00 90.00 90.00°
Space group Fd-3m (No. 227, origin choice 2)
Inequivalent atoms, fractional coordinates:
Sm (0.0000, 0.0000, 0.0000) (multiplicity 16)
In (0.1250, 0.1250, 0.6250) (multiplicity 8)
O (0.0111, 0.0111, 0.2389) (multiplicity 32)

Most intense lines, 2θ = 10–90°, low angle first:
2theta	intensity	h k l
15.7	17	1 1 1
25.7	20	2 2 0
30.3	100	3 1 1
31.6	30	2 2 2
36.7	17	4 0 0
48.3	39	5 1 1
52.9	43	4 4 0
62.1	13	5 3 3
62.9	15	6 2 2
74.4	22	5 5 3

Entry 12:
Diffraction record for Tm2LuCo9. The powder diffraction line list is calculated, not measured: it uses DFT lattice parameters and positions (PBE) and λ = 1.5418 Å (Cu Kα).

Cell: 4.9028 4.9028 24.0198 Å, 90.00 90.00 120.00°
Space group R-3m (No. 166, hexagonal axes)
Inequivalent atoms, fractional coordinates:
Tm (0.0000, 0.0000, 0.1399) (multiplicity 6)
Lu (0.0000, 0.0000, 0.0000) (multiplicity 3)
Co (0.0000, 0.0000, 0.3348) (multiplicity 6)
Co (0.0000, 0.0000, 0.5000) (multiplicity 3)
Co (0.0035, 0.5017, 0.9180) (multiplicity 18)

Most intense lines, 2θ = 10–90°, low angle first:
2theta	intensity	h k l
33.6	50	1 0 7
36.7	93	1 1 0
42.8	36	0 2 1
43.3	100	1 1 6
45.3	19	0 0 12
46.8	21	0 1 11
64.1	15	2 1 7
66.0	25	3 0 0
70.6	34	2 0 14
77.9	19	2 2 0

- What is the formula in the first record?
  CuH12I4N4